Structure and theoretical PXRD pattern of Sc2BiSb (the GGA-PBE geometry in Alexandria; Cu Kα (λ = 1.5418 Å)).

The 12 most intense peaks (15 to 90 degrees two-theta), most intense first:
2θ/deg  I (rel.)
27.53  100
35.49  41
42.86  32
46.12  25
51.70  18
69.77  15
50.49  14
25.42  14
56.83  10
69.32  10
64.78  9
87.75  7

Structural model:
```
Sc2BiSb
1.0
8.4463 0.0000 0.0000
0.0000 7.3025 0.0000
0.0000 0.0000 7.0082
Sc Bi Sb
8 4 4
Direct
0.1176 0.2500 0.0000
0.1176 0.2500 0.5000
0.3674 0.7500 0.0000
0.3674 0.7500 0.5000
0.6326 0.2500 0.0000
0.6326 0.2500 0.5000
0.8824 0.7500 0.0000
0.8824 0.7500 0.5000
0.3751 0.0870 0.2500
0.3751 0.4130 0.7500
0.6249 0.5870 0.2500
0.6249 0.9130 0.7500
0.1250 0.5802 0.2500
0.1250 0.9198 0.7500
0.8750 0.0802 0.2500
0.8750 0.4198 0.7500
```

---

Structure and theoretical PXRD pattern of ScBiSb (the GGA-PBE geometry in Alexandria; Cu Kα (λ = 1.5418 Å)).

The 12 most intense peaks (15 to 90 degrees two-theta), most intense first:
2θ/deg  I (rel.)
30.91  100
34.79  78
26.68  42
34.48  38
25.24  31
41.43  30
35.72  27
18.91  25
31.69  24
57.13  21
54.96  20
38.37  14

Structural model:
```
ScBiSb
1.0
5.8824 -2.1797 0.0000
5.8824 2.1797 0.0000
-1.0902 0.0000 6.3382
Sc Bi Sb
2 2 2
Direct
0.1030 0.1030 0.2669
0.8970 0.8970 0.7331
0.1980 0.1980 0.8024
0.8020 0.8020 0.1976
0.5000 0.5000 0.0000
0.5000 0.5000 0.5000
```

---

Structure and theoretical PXRD pattern of BiSb2Se (the GGA-PBE geometry in Alexandria; Cu Kα (λ = 1.5418 Å)).

The 12 most intense peaks (15 to 90 degrees two-theta), most intense first:
2θ/deg  I (rel.)
27.95  100
28.98  93
27.14  86
18.21  40
44.22  35
36.90  33
38.16  32
40.51  31
39.43  30
40.80  29
30.41  24
44.74  21

Structural model:
```
BiSb2Se
1.0
6.2604 0.0000 0.0000
1.1305 6.3961 0.0000
0.2853 0.3778 6.5713
Bi Sb Se
2 4 2
Direct
0.0000 0.0000 0.0000
0.0334 0.9775 0.4720
0.0038 0.4696 0.9726
0.0425 0.5072 0.5301
0.5249 0.4876 0.0441
0.5280 0.4746 0.4924
0.4326 0.8868 0.1343
0.6133 0.0842 0.6394
```

---

Structure and theoretical PXRD pattern of BiSb2Se (the GGA-PBE geometry in Alexandria; Cu Kα (λ = 1.5418 Å)).

The 12 most intense peaks (15 to 90 degrees two-theta), most intense first:
2θ/deg  I (rel.)
29.03  100
41.15  78
28.52  52
51.14  41
41.52  38
75.49  26
21.63  20
67.12  18
67.91  18
68.17  18
60.18  15
29.67  14

Structural model:
```
BiSb2Se
1.0
-2.1751 2.1751 6.2586
2.1751 -2.1751 6.2586
2.1751 2.1751 -6.2586
Bi Sb Se
1 2 1
Direct
0.0000 0.0000 0.0000
0.2537 0.2537 0.0000
0.7463 0.7463 0.0000
0.5000 0.5000 0.0000
```

---

Structure and theoretical PXRD pattern of Sm4BiSb2 (the GGA-PBE geometry in Alexandria; Cu Kα (λ = 1.5418 Å)).

The 12 most intense peaks (15 to 90 degrees two-theta), most intense first:
2θ/deg  I (rel.)
29.01  100
33.98  81
28.61  46
36.36  44
25.49  42
17.95  41
34.11  37
43.07  33
54.38  24
47.40  23
45.48  23
39.00  20

Structural model:
```
Sm4BiSb2
1.0
0.0000 6.9808 6.9954
4.8579 0.0000 6.9954
4.8579 6.9808 0.0000
Sm Bi Sb
8 2 4
Direct
0.1298 0.3057 0.3067
0.2422 0.6933 0.6943
0.3057 0.1298 0.7578
0.3067 0.7578 0.1298
0.6933 0.2422 0.8702
0.6943 0.8702 0.2422
0.7578 0.3067 0.3057
0.8702 0.6943 0.6933
0.3750 0.3750 0.3750
0.6250 0.6250 0.6250
0.0000 0.0000 0.0000
0.0000 0.0000 0.5000
0.0000 0.5000 0.0000
0.5000 0.0000 0.0000
```

---

Structure and theoretical PXRD pattern of Sm10Bi3Sb3 (the GGA-PBE geometry in Alexandria; Cu Kα (λ = 1.5418 Å)).

The 12 most intense peaks (15 to 90 degrees two-theta), most intense first:
2θ/deg  I (rel.)
32.49  100
33.72  82
33.37  54
29.34  27
51.91  27
27.53  21
48.17  21
64.61  18
42.82  16
67.54  14
51.42  13
29.72  12

Structural model:
```
Sm10Bi3Sb3
1.0
9.3014 0.0000 0.0000
-4.6507 8.0552 0.0000
0.0000 0.0000 6.4792
Sm Bi Sb
10 3 3
Direct
0.0000 0.2474 0.0000
0.0000 0.7531 0.5000
0.2474 0.0000 0.0000
0.2469 0.2469 0.5000
0.3333 0.6667 0.2462
0.3333 0.6667 0.7538
0.6667 0.3333 0.2462
0.6667 0.3333 0.7538
0.7531 0.0000 0.5000
0.7526 0.7526 0.0000
0.0000 0.3890 0.5000
0.3890 0.0000 0.5000
0.6110 0.6110 0.5000
0.0000 0.6135 0.0000
0.3865 0.3865 0.0000
0.6135 0.0000 0.0000
```

---

Structure and theoretical PXRD pattern of Sm8BiSb2 (the GGA-PBE geometry in Alexandria; Cu Kα (λ = 1.5418 Å)).

The 12 most intense peaks (15 to 90 degrees two-theta), most intense first:
2θ/deg  I (rel.)
29.55  100
32.91  47
37.81  32
30.35  26
30.11  21
40.22  13
63.25  12
49.06  12
28.53  12
29.98  10
61.07  10
56.38  10

Structural model:
```
Sm8BiSb2
1.0
9.4007 -2.3797 0.0000
9.4007 2.3797 0.0000
-0.4594 0.0000 7.9030
Sm Bi Sb
8 1 2
Direct
0.0007 0.0007 0.2592
0.2176 0.2176 0.3616
0.3325 0.3325 0.9621
0.4006 0.4006 0.4800
0.5994 0.5994 0.5200
0.6675 0.6675 0.0379
0.7824 0.7824 0.6384
0.9993 0.9993 0.7408
0.5000 0.5000 0.0000
0.1744 0.1744 0.7679
0.8256 0.8256 0.2321
```

---

Structure and theoretical PXRD pattern of Sm3Bi2Sb (the GGA-PBE geometry in Alexandria; Cu Kα (λ = 1.5418 Å)).

The 12 most intense peaks (15 to 90 degrees two-theta), most intense first:
2θ/deg  I (rel.)
27.86  100
39.81  78
65.14  37
49.29  28
72.28  27
57.57  13
85.84  9
27.47  1
15.30  1
24.07  1
20.68  1
47.06  1

Structural model:
```
Sm3Bi2Sb
1.0
-2.2641 3.1998 6.7974
2.2641 -3.1998 6.7974
2.2641 3.1998 -6.7974
Sm Bi Sb
3 2 1
Direct
0.0000 0.0000 0.0000
0.3372 0.3372 0.0000
0.6628 0.6628 0.0000
0.1679 0.6679 0.5000
0.8321 0.3321 0.5000
0.5000 0.0000 0.5000
```

---

Structure and theoretical PXRD pattern of SmYBiSb (the GGA-PBE geometry in Alexandria; Cu Kα (λ = 1.5418 Å)).

The 12 most intense peaks (15 to 90 degrees two-theta), most intense first:
2θ/deg  I (rel.)
28.19  100
40.30  77
66.00  36
49.91  28
73.26  27
58.30  13
87.09  9
31.60  6
24.35  4
42.86  4
47.65  2
60.28  2

Structural model:
```
SmYBiSb
1.0
4.4779 0.0000 0.0000
0.0000 4.4779 0.0000
0.0000 0.0000 6.3256
Sm Y Bi Sb
1 1 1 1
Direct
0.0000 0.0000 0.0000
0.5000 0.5000 0.5000
0.5000 0.5000 0.0000
0.0000 0.0000 0.5000
```

---

Structure and theoretical PXRD pattern of Sn3Bi3Sb (the GGA-PBE geometry in Alexandria; Cu Kα (λ = 1.5418 Å)).

The 12 most intense peaks (15 to 90 degrees two-theta), most intense first:
2θ/deg  I (rel.)
28.05  100
29.48  87
40.85  52
27.42  47
31.10  46
31.32  43
41.44  36
42.53  36
42.69  20
42.06  20
39.45  18
65.92  17

Structural model:
```
Sn3Bi3Sb
1.0
6.8556 0.0000 0.0000
-1.4687 7.0199 0.0000
-2.2688 -0.7432 9.1224
Sn Bi Sb
6 6 2
Direct
0.0882 0.0836 0.3310
0.2045 0.5106 0.4603
0.3210 0.1969 0.0934
0.6790 0.8031 0.9066
0.7955 0.4894 0.5397
0.9118 0.9164 0.6690
0.2280 0.7670 0.9565
0.3531 0.9317 0.6141
0.4948 0.3830 0.7473
0.5052 0.6170 0.2527
0.6469 0.0683 0.3859
0.7720 0.2330 0.0435
0.0593 0.3301 0.8179
0.9407 0.6699 0.1821
```

---

Structure and theoretical PXRD pattern of Sn3BiSb3 (the GGA-PBE geometry in Alexandria; Cu Kα (λ = 1.5418 Å)).

The 12 most intense peaks (15 to 90 degrees two-theta), most intense first:
2θ/deg  I (rel.)
33.44  100
34.34  71
44.33  28
48.69  28
60.36  27
69.02  24
23.79  23
59.78  18
28.25  16
88.46  13
19.12  12
80.59  12

Structural model:
```
Sn3BiSb3
1.0
4.6407 2.6793 6.3186
-4.6407 2.6793 6.3186
0.0000 -5.3587 6.3186
Sn Bi Sb
6 2 6
Direct
0.0879 0.7619 0.4074
0.2381 0.5926 0.9121
0.4074 0.0879 0.7619
0.5926 0.9121 0.2381
0.7619 0.4074 0.0879
0.9121 0.2381 0.5926
0.3310 0.3310 0.3310
0.6690 0.6690 0.6690
0.0778 0.4294 0.7348
0.2652 0.9222 0.5706
0.4294 0.7348 0.0778
0.5706 0.2652 0.9222
0.7348 0.0778 0.4294
0.9222 0.5706 0.2652
```

---

Structure and theoretical PXRD pattern of Sn4BiSb3 (the GGA-PBE geometry in Alexandria; Cu Kα (λ = 1.5418 Å)).

The 12 most intense peaks (15 to 90 degrees two-theta), most intense first:
2θ/deg  I (rel.)
28.63  100
40.93  77
67.13  37
50.71  28
74.55  27
59.27  13
88.75  9
20.14  3
32.10  2
35.25  2
24.73  1
43.54  1

Structural model:
```
Sn4BiSb3
1.0
6.2358 0.0000 0.0000
0.0000 6.2358 0.0000
0.0000 0.0000 6.2358
Sn Bi Sb
4 1 3
Direct
0.0000 0.0000 0.0000
0.0000 0.5000 0.5000
0.5000 0.0000 0.5000
0.5000 0.5000 0.0000
0.5000 0.5000 0.5000
0.0000 0.0000 0.5000
0.0000 0.5000 0.0000
0.5000 0.0000 0.0000
```

---

Repeat the tenth record exactly.
Structure and theoretical PXRD pattern of Sn3Bi3Sb (the GGA-PBE geometry in Alexandria; Cu Kα (λ = 1.5418 Å)).

The 12 most intense peaks (15 to 90 degrees two-theta), most intense first:
2θ/deg  I (rel.)
28.05  100
29.48  87
40.85  52
27.42  47
31.10  46
31.32  43
41.44  36
42.53  36
42.69  20
42.06  20
39.45  18
65.92  17

Structural model:
```
Sn3Bi3Sb
1.0
6.8556 0.0000 0.0000
-1.4687 7.0199 0.0000
-2.2688 -0.7432 9.1224
Sn Bi Sb
6 6 2
Direct
0.0882 0.0836 0.3310
0.2045 0.5106 0.4603
0.3210 0.1969 0.0934
0.6790 0.8031 0.9066
0.7955 0.4894 0.5397
0.9118 0.9164 0.6690
0.2280 0.7670 0.9565
0.3531 0.9317 0.6141
0.4948 0.3830 0.7473
0.5052 0.6170 0.2527
0.6469 0.0683 0.3859
0.7720 0.2330 0.0435
0.0593 0.3301 0.8179
0.9407 0.6699 0.1821
```